(1)
The following is a calculated powder X-ray diffraction pattern of Li2VF4. It was derived from a cell relaxed with GGA+U, using Cu Kα (λ = 1.5418 Å).
Neutral-atom scattering factors, no anomalous dispersion.

Largest 10 diffraction maxima, sorted by position, 2θ from 5° to 70°:
2θ/deg  I_rel
17.7  22
19.7  100
32.2  27
34.9  26
38.3  50
40.2  15
43.5  16
49.9  36
51.5  20
57.6  14

Structural model:
Lattice parameters (Å, degrees): 5.032 10.023 3.131 90.00 90.00 90.00
Fractional coordinates of all 14 atoms:
1 Li 0.024 0.208 0.000
2 Li 0.476 0.708 0.000
3 Li 0.524 0.292 0.000
4 Li 0.976 0.792 0.000
5 V 0.000 0.500 0.500
6 V 0.500 0.000 0.500
7 F 0.205 0.400 0.000
8 F 0.245 0.167 0.500
9 F 0.255 0.667 0.500
10 F 0.295 0.900 0.000
11 F 0.705 0.100 0.000
12 F 0.745 0.333 0.500
13 F 0.755 0.833 0.500
14 F 0.795 0.600 0.000

=====

(2)
The following is a calculated powder X-ray diffraction pattern of Li3VF6. It was derived from a cell relaxed with GGA+U, using Cu Kα (λ = 1.5418 Å).
Neutral-atom scattering factors, no anomalous dispersion.

Largest 10 diffraction maxima, sorted by position, 2θ from 5° to 70°:
2θ/deg  I_rel
19.8  55
22.9  100
32.6  7
38.4  26
40.2  19
46.8  57
51.2  10
52.7  32
62.1  8
68.3  29

Structural model:
Lattice parameters (Å, degrees): 5.496 5.496 5.496 60.00 60.00 60.00
Fractional coordinates of all 10 atoms:
1 Li 0.000 0.000 0.000
2 Li 0.250 0.250 0.250
3 Li 0.750 0.750 0.750
4 V 0.500 0.500 0.500
5 F 0.252 0.252 0.748
6 F 0.252 0.748 0.252
7 F 0.252 0.748 0.748
8 F 0.748 0.252 0.252
9 F 0.748 0.252 0.748
10 F 0.748 0.748 0.252

=====

(3)
The following is a calculated powder X-ray diffraction pattern of Li3VF5. It was derived from a cell relaxed with GGA+U, using Cu Kα (λ = 1.5418 Å).
Neutral-atom scattering factors, no anomalous dispersion.

Largest 10 diffraction maxima, sorted by position, 2θ from 5° to 70°:
2θ/deg  I_rel
17.5  100
23.5  71
24.3  89
25.0  65
26.2  91
38.0  48
41.6  52
43.3  56
48.1  38
54.4  40

Structural model:
Lattice parameters (Å, degrees): 8.351 7.567 6.807 90.00 90.00 90.00
Fractional coordinates of all 36 atoms:
1 Li 0.123 0.250 0.145
2 Li 0.124 0.554 0.737
3 Li 0.124 0.946 0.737
4 Li 0.376 0.054 0.237
5 Li 0.376 0.446 0.237
6 Li 0.377 0.750 0.645
7 Li 0.623 0.250 0.355
8 Li 0.624 0.554 0.763
9 Li 0.624 0.946 0.763
10 Li 0.876 0.054 0.263
11 Li 0.876 0.446 0.263
12 Li 0.877 0.750 0.855
13 V 0.125 0.750 0.249
14 V 0.375 0.250 0.749
15 V 0.625 0.750 0.251
16 V 0.875 0.250 0.751
17 F 0.091 0.750 0.939
18 F 0.124 0.027 0.262
19 F 0.124 0.473 0.262
20 F 0.125 0.250 0.721
21 F 0.163 0.750 0.557
22 F 0.337 0.250 0.057
23 F 0.375 0.750 0.221
24 F 0.376 0.527 0.762
25 F 0.376 0.973 0.762
26 F 0.409 0.250 0.439
27 F 0.591 0.750 0.561
28 F 0.624 0.027 0.238
29 F 0.624 0.473 0.238
30 F 0.625 0.250 0.779
31 F 0.663 0.750 0.943
32 F 0.837 0.250 0.443
33 F 0.875 0.750 0.279
34 F 0.876 0.527 0.738
35 F 0.876 0.973 0.738
36 F 0.909 0.250 0.061

=====

Question: What is the formula in the second record?
Answer: Li3VF6